For Ac4Ge2Bi, a PBE-relaxed structure gives the calculated X-ray powder pattern in this record (copper Kα).
Intensities are scaled so that the largest is 100.

Structural model:
abc: 10.3501 10.3501 10.3345
angles: 90.00 90.00 90.00
Space group I-42d (No. 122)
Symmetry-distinct sites (fractional):
Ac (0.9997, 0.1810, 0.3333) (multiplicity 16)
Ge (0.0007, 0.7500, 0.6250) (multiplicity 8)
Bi (0.0000, 0.0000, 0.0000) (multiplicity 4)

Largest 10 diffraction maxima, in order of rising 2θ, 2θ from 10° to 90°:
- d = 5.175 Å, 2θ 17.1, intensity 24.5, (2 0 0)
- d = 3.658 Å, 2θ 24.3, intensity 59.8, (2 2 0)
- d = 3.270 Å, 2θ 27.3, intensity 100.0, (1 0 3)
- d = 2.766 Å, 2θ 32.4, intensity 68.2, (3 2 1)
- d = 2.587 Å, 2θ 34.7, intensity 20.5, (4 0 0)
- d = 2.206 Å, 2θ 40.9, intensity 33.6, (3 3 2)
- d = 2.029 Å, 2θ 44.7, intensity 41.8, (3 1 4)
- d = 1.526 Å, 2θ 60.7, intensity 21.2, (6 3 1)
- d = 1.463 Å, 2θ 63.6, intensity 17.5, (5 3 4)
- d = 1.313 Å, 2θ 71.9, intensity 17.3, (5 1 6)